Structure and calculated X-ray diffraction stick pattern of YErCu2B2N2 (a DFT-relaxed cell (GGA-PBE, OQMD); Cu Kα, 1.54184 Å).

Unit cell a=3.4860 b=3.4860 c=7.6959 alpha=90.00 beta=90.00 gamma=90.00
Space group P4mm (No. 99)
Symmetry-distinct sites (fractional):
Y (0.0000, 0.0000, 0.0000) (multiplicity 1)
Er (0.5000, 0.5000, 0.6706) (multiplicity 1)
Cu (0.0000, 0.5000, 0.3354) (multiplicity 2)
B (0.0000, 0.0000, 0.5091) (multiplicity 1)
B (0.5000, 0.5000, 0.1596) (multiplicity 1)
N (0.0000, 0.0000, 0.6967) (multiplicity 1)
N (0.5000, 0.5000, 0.9716) (multiplicity 1)

Principal peaks in the range 15 to 90 degrees two-theta, sorted by position:
| hkl | d_spacing | two_theta | I/Imax |
| --- | --- | --- | --- |
| 1 0 1 | 3.175 | 28.1 | 965 |
| 1 0 2 | 2.583 | 34.7 | 730 |
| 0 0 3 | 2.565 | 35.0 | 633 |
| 1 1 1 | 2.348 | 38.3 | 1000 |
| 1 1 2 | 2.076 | 43.6 | 665 |
| 2 0 0 | 1.743 | 52.5 | 446 |
| 2 1 1 | 1.528 | 60.6 | 245 |
| 1 1 4 | 1.517 | 61.1 | 282 |
| 2 1 2 | 1.445 | 64.5 | 250 |
| 2 0 3 | 1.442 | 64.7 | 398 |